(1)
The following is a simulated X-ray diffraction stick pattern of K2MnN4. It was derived from DFT lattice parameters and positions (GGA-PBE), using copper Kα.
No peak broadening, texture or thermal motion is included.

Cell and atoms:
a = 7.724 Å, b = 6.269 Å, c = 12.841 Å
α = 90.00°, β = 108.04°, γ = 90.00°
Space group P2_1/c (No. 14)
Asymmetric unit:
K (0.047, 0.193, 0.361)
K (0.427, 0.722, 0.104)
Mn (0.204, 0.214, 0.141)
N (0.017, 0.738, 0.434)
N (0.238, 0.518, 0.709)
N (0.254, 0.089, 0.734)
N (0.335, 0.236, 0.058)

Largest 10 diffraction maxima, by angle, 10 to 90 degrees two-theta:
2θ (°)	I (rel.)	(hkl)
15.74	67	1 0 -2
18.61	100	1 1 0
21.62	71	1 0 2
28.04	64	2 1 -2
28.16	38	2 1 0
28.48	67	0 2 0
29.26	42	0 0 4
34.94	49	2 1 -4
35.23	51	2 1 2
41.29	40	0 2 4

=====

(2)
The following is a simulated X-ray diffraction stick pattern of KMnP. It was derived from DFT lattice parameters and positions (GGA-PBE), using copper Kα.
No peak broadening, texture or thermal motion is included.

Cell and atoms:
a = 3.793 Å, b = 3.793 Å, c = 10.478 Å
α = 90.00°, β = 90.00°, γ = 90.00°
Space group P4/nmm (No. 129, origin choice 2)
Asymmetric unit:
K (0.250, 0.250, 0.197)
Mn (0.250, 0.750, 0.500)
P (0.250, 0.250, 0.622)

Largest 10 diffraction maxima, by angle, 10 to 90 degrees two-theta:
2θ (°)	I (rel.)	(hkl)
25.50	47	0 0 3
29.06	88	1 0 2
34.52	38	1 1 1
34.92	33	1 0 3
37.68	100	1 1 2
47.97	50	2 0 0
48.58	36	1 1 4
48.80	25	2 0 1
55.66	55	1 1 5
57.07	21	2 1 2

=====

(3)
The following is a simulated X-ray diffraction stick pattern of K2MnP2S6. It was derived from DFT lattice parameters and positions (GGA-PBE), using copper Kα.
No peak broadening, texture or thermal motion is included.

Cell and atoms:
a = 6.194 Å, b = 12.332 Å, c = 8.849 Å
α = 90.00°, β = 121.97°, γ = 90.00°
Space group P2_1/c (No. 14)
Asymmetric unit:
K (0.191, 0.183, 0.471)
Mn (0.500, 0.000, 0.000)
P (0.149, 0.536, 0.631)
S (0.051, 0.066, 0.751)
S (0.285, 0.667, 0.568)
S (0.430, 0.077, 0.248)

Largest 10 diffraction maxima, by angle, 10 to 90 degrees two-theta:
2θ (°)	I (rel.)	(hkl)
13.81	100	0 1 1
14.37	58	0 2 0
24.69	27	0 3 1
26.35	27	1 1 1
29.23	79	1 2 1
32.57	74	1 4 -1
33.74	27	1 2 -3
34.75	37	2 1 -3
37.20	23	2 2 0
50.64	24	0 6 2

=====

(4)
The following is a simulated X-ray diffraction stick pattern of KMnRu. It was derived from DFT lattice parameters and positions (GGA-PBE), using copper Kα.
No peak broadening, texture or thermal motion is included.

Cell and atoms:
a = 6.531 Å, b = 6.531 Å, c = 6.531 Å
α = 90.00°, β = 90.00°, γ = 90.00°
Space group F-43m (No. 216)
Asymmetric unit:
K (0.000, 0.000, 0.000)
Mn (0.000, 0.000, 0.500)
Ru (0.250, 0.250, 0.250)

Largest 9 diffraction maxima, by angle, 10 to 90 degrees two-theta:
2θ (°)	I (rel.)	(hkl)
23.60	70	1 1 1
39.01	100	2 2 0
46.10	34	3 1 1
56.35	16	4 0 0
61.93	14	3 3 1
70.66	31	4 2 2
75.67	10	5 1 1
83.79	10	4 4 0
88.59	10	5 3 1

=====

(5)
The following is a simulated X-ray diffraction stick pattern of K2Mn3S4. It was derived from DFT lattice parameters and positions (GGA-PBE), using copper Kα.
No peak broadening, texture or thermal motion is included.

Cell and atoms:
a = 7.313 Å, b = 6.027 Å, c = 11.146 Å
α = 90.00°, β = 112.33°, γ = 90.00°
Space group P2/c (No. 13)
Asymmetric unit:
K (0.000, 0.000, 0.000)
K (0.000, 0.494, 0.250)
Mn (0.499, 0.250, 0.029)
Mn (0.500, 0.249, 0.750)
S (0.292, 0.033, 0.833)
S (0.292, 0.465, 0.563)

Largest 10 diffraction maxima, by angle, 10 to 90 degrees two-theta:
2θ (°)	I (rel.)	(hkl)
13.09	66	1 0 0
17.21	18	0 0 2
26.35	15	2 0 0
29.48	100	1 1 2
32.53	44	1 2 0
34.82	27	0 0 4
40.07	18	2 2 0
44.27	41	1 2 -4
50.56	27	3 2 0
52.19	24	2 0 4

=====

(6)
The following is a simulated X-ray diffraction stick pattern of K10Mn4Sn4S17. It was derived from DFT lattice parameters and positions (GGA-PBE), using copper Kα.
No peak broadening, texture or thermal motion is included.

Cell and atoms:
a = 14.3289 Å, b = 14.3289 Å, c = 17.7735 Å
α = 90.00°, β = 90.00°, γ = 120.00°
Space group R3m (No. 160, hexagonal axes)
Asymmetric unit:
K (0.0000, 0.0000, 0.0000)
K (0.1671, 0.3342, 0.1627)
K (0.1809, 0.3618, 0.6468)
K (0.2174, 0.1087, 0.7680)
Mn (0.0000, 0.0000, 0.1934)
Mn (0.0909, 0.1817, 0.3749)
Sn (0.0000, 0.0000, 0.5536)
Sn (0.1835, 0.3670, 0.9210)
S (0.0000, 0.0000, 0.3285)
S (0.0000, 0.0000, 0.6865)
S (0.0038, 0.2771, 0.3303)
S (0.0922, 0.1843, 0.8809)
S (0.0935, 0.1871, 0.5098)
S (0.1809, 0.0904, 0.1446)

Largest 10 diffraction maxima, by angle, 10 to 90 degrees two-theta:
2θ (°)	I (rel.)	(hkl)
15.12	60	0 2 1
17.43	100	2 0 2
24.64	87	0 2 4
24.86	82	2 2 0
26.34	49	1 3 1
29.16	99	2 2 3
37.34	42	0 3 6
37.66	40	3 3 0
50.53	40	0 4 8
50.99	42	4 4 0

=====

(7)
The following is a simulated X-ray diffraction stick pattern of KMnSb. It was derived from DFT lattice parameters and positions (GGA-PBE), using copper Kα.
No peak broadening, texture or thermal motion is included.

Cell and atoms:
a = 4.669 Å, b = 4.669 Å, c = 8.298 Å
α = 90.00°, β = 90.00°, γ = 90.00°
Space group P4/nmm (No. 129, origin choice 2)
Asymmetric unit:
K (0.250, 0.250, 0.154)
Mn (0.250, 0.750, 0.500)
Sb (0.250, 0.250, 0.686)

Largest 10 diffraction maxima, by angle, 10 to 90 degrees two-theta:
2θ (°)	I (rel.)	(hkl)
10.66	100	0 0 1
21.84	70	1 0 1
27.01	40	1 1 0
28.79	95	1 0 2
34.72	89	1 1 2
38.56	65	2 0 0
42.64	35	1 1 3
47.99	31	1 0 4
48.83	42	2 1 2
63.18	27	2 1 4